Hf2ZrNi2As4Pd2: simulated powder diffraction line list (a wavelength of 1.5418 Å), based on the PBE geometry in OQMD.
Peak positions follow from Bragg's law for the DFT cell and can differ from measured ones.

Structural model:
a b c (Å): 6.509 3.873 7.539
angles (deg): 90.00 90.03 90.00
Space group Pm (No. 6)
Unique sites:
Hf (0.000, 0.000, 0.000) (multiplicity 1)
Hf (0.428, 0.500, 0.511) (multiplicity 1)
Zr (0.501, 0.000, 0.139) (multiplicity 1)
Ni (0.118, 0.000, 0.379) (multiplicity 1)
Ni (0.319, 0.500, 0.883) (multiplicity 1)
As (0.185, 0.000, 0.692) (multiplicity 1)
As (0.212, 0.500, 0.196) (multiplicity 1)
As (0.719, 0.500, 0.939) (multiplicity 1)
As (0.729, 0.000, 0.457) (multiplicity 1)
Pd (0.582, 0.000, 0.761) (multiplicity 1)
Pd (0.827, 0.500, 0.269) (multiplicity 1)

Largest 6 diffraction maxima, low angle first, 2θ = 5–70°:
| 2θ/deg | d (Å) | I/Imax |
| --- | --- | --- |
| 18.0 | 4.927 | 38 |
| 36.0 | 2.494 | 100 |
| 38.0 | 2.366 | 75 |
| 38.4 | 2.344 | 27 |
| 42.9 | 2.108 | 33 |
| 46.9 | 1.936 | 33 |


Hf2ZrNiAs4Pd3: simulated powder diffraction line list (a wavelength of 1.5418 Å), based on the PBE geometry in OQMD.
Peak positions follow from Bragg's law for the DFT cell and can differ from measured ones.

Structural model:
a b c (Å): 6.563 3.913 7.615
angles (deg): 90.00 90.28 90.00
Space group Pm (No. 6)
Unique sites:
Hf (0.000, 0.000, 0.000) (multiplicity 1)
Hf (0.072, 0.500, 0.372) (multiplicity 1)
Zr (0.503, 0.000, 0.858) (multiplicity 1)
Ni (0.385, 0.000, 0.231) (multiplicity 1)
As (0.290, 0.500, 0.067) (multiplicity 1)
As (0.324, 0.000, 0.538) (multiplicity 1)
As (0.777, 0.000, 0.313) (multiplicity 1)
As (0.781, 0.500, 0.800) (multiplicity 1)
Pd (0.185, 0.500, 0.743) (multiplicity 1)
Pd (0.682, 0.500, 0.125) (multiplicity 1)
Pd (0.913, 0.000, 0.619) (multiplicity 1)

Largest 6 diffraction maxima, low angle first, 2θ = 5–70°:
| 2θ/deg | d (Å) | I/Imax |
| --- | --- | --- |
| 13.5 | 6.563 | 54 |
| 35.6 | 2.520 | 72 |
| 35.7 | 2.515 | 58 |
| 37.7 | 2.388 | 100 |
| 42.4 | 2.130 | 46 |
| 46.4 | 1.957 | 48 |


Hf2ZrNiAs4Pd3: simulated powder diffraction line list (a wavelength of 1.5418 Å), based on the PBE geometry in OQMD.
Peak positions follow from Bragg's law for the DFT cell and can differ from measured ones.

Structural model:
a b c (Å): 6.581 3.890 7.701
angles (deg): 90.00 91.13 90.00
Space group Pm (No. 6)
Unique sites:
Hf (0.000, 0.000, 0.000) (multiplicity 1)
Hf (0.071, 0.500, 0.372) (multiplicity 1)
Zr (0.505, 0.000, 0.872) (multiplicity 1)
Ni (0.698, 0.500, 0.128) (multiplicity 1)
As (0.296, 0.500, 0.061) (multiplicity 1)
As (0.316, 0.000, 0.564) (multiplicity 1)
As (0.781, 0.500, 0.817) (multiplicity 1)
As (0.784, 0.000, 0.299) (multiplicity 1)
Pd (0.176, 0.500, 0.744) (multiplicity 1)
Pd (0.395, 0.000, 0.252) (multiplicity 1)
Pd (0.901, 0.000, 0.615) (multiplicity 1)

Largest 6 diffraction maxima, low angle first, 2θ = 5–70°:
| 2θ/deg | d (Å) | I/Imax |
| --- | --- | --- |
| 13.5 | 6.580 | 65 |
| 35.7 | 2.513 | 100 |
| 37.5 | 2.399 | 64 |
| 37.8 | 2.377 | 66 |
| 42.2 | 2.142 | 63 |
| 46.7 | 1.945 | 53 |


HfZr2NiAs4Pd3: simulated powder diffraction line list (a wavelength of 1.5418 Å), based on the PBE geometry in OQMD.
Peak positions follow from Bragg's law for the DFT cell and can differ from measured ones.

Structural model:
a b c (Å): 6.600 3.917 7.655
angles (deg): 90.00 90.03 90.00
Space group Pm (No. 6)
Unique sites:
Hf (0.000, 0.000, 0.000) (multiplicity 1)
Zr (0.495, 0.000, 0.129) (multiplicity 1)
Zr (0.571, 0.500, 0.507) (multiplicity 1)
Ni (0.670, 0.500, 0.875) (multiplicity 1)
As (0.276, 0.500, 0.933) (multiplicity 1)
As (0.281, 0.000, 0.448) (multiplicity 1)
As (0.782, 0.500, 0.179) (multiplicity 1)
As (0.800, 0.000, 0.706) (multiplicity 1)
Pd (0.180, 0.500, 0.260) (multiplicity 1)
Pd (0.407, 0.000, 0.758) (multiplicity 1)
Pd (0.886, 0.000, 0.384) (multiplicity 1)

Largest 6 diffraction maxima, low angle first, 2θ = 5–70°:
| 2θ/deg | d (Å) | I/Imax |
| --- | --- | --- |
| 17.7 | 4.999 | 25 |
| 35.5 | 2.526 | 100 |
| 37.5 | 2.397 | 69 |
| 42.3 | 2.138 | 42 |
| 44.5 | 2.034 | 28 |
| 46.4 | 1.958 | 35 |


Repeat the third record exactly.
Hf2ZrNiAs4Pd3: simulated powder diffraction line list (a wavelength of 1.5418 Å), based on the PBE geometry in OQMD.
Peak positions follow from Bragg's law for the DFT cell and can differ from measured ones.

Structural model:
a b c (Å): 6.581 3.890 7.701
angles (deg): 90.00 91.13 90.00
Space group Pm (No. 6)
Unique sites:
Hf (0.000, 0.000, 0.000) (multiplicity 1)
Hf (0.071, 0.500, 0.372) (multiplicity 1)
Zr (0.505, 0.000, 0.872) (multiplicity 1)
Ni (0.698, 0.500, 0.128) (multiplicity 1)
As (0.296, 0.500, 0.061) (multiplicity 1)
As (0.316, 0.000, 0.564) (multiplicity 1)
As (0.781, 0.500, 0.817) (multiplicity 1)
As (0.784, 0.000, 0.299) (multiplicity 1)
Pd (0.176, 0.500, 0.744) (multiplicity 1)
Pd (0.395, 0.000, 0.252) (multiplicity 1)
Pd (0.901, 0.000, 0.615) (multiplicity 1)

Largest 6 diffraction maxima, low angle first, 2θ = 5–70°:
| 2θ/deg | d (Å) | I/Imax |
| --- | --- | --- |
| 13.5 | 6.580 | 65 |
| 35.7 | 2.513 | 100 |
| 37.5 | 2.399 | 64 |
| 37.8 | 2.377 | 66 |
| 42.2 | 2.142 | 63 |
| 46.7 | 1.945 | 53 |